# 1
For Nd4Cd2InAu, a structure optimized by DFT (PBE) gives the theoretical XRD peak list in this record (CuKα).
Intensities are scaled so that the largest is 100.

Most intense lines, 5° ≤ 2θ ≤ 70°, sorted by position:
two_theta  I (rel.)
10.0  1.6
19.3  1.4
20.1  1.3
30.4  1.2
33.2  100.0
45.6  2.1
47.6  17.7
59.2  35.9
62.9  1.4
69.6  10.8

Cell lengths 9.3600, 9.3600, 9.3600 Å; angles 33.56, 33.56, 33.56 degrees
Fractional positions:
Nd1 0.1202 0.1202 0.1202
Nd2 0.3710 0.3710 0.3710
Nd3 0.6290 0.6290 0.6290
Nd4 0.8798 0.8798 0.8798
Cd1 0.2448 0.2448 0.2448
Cd2 0.7552 0.7552 0.7552
In1 0.5000 0.5000 0.5000
Au1 0.0000 0.0000 0.0000


# 2
For CdInRh2Au, a structure optimized by DFT (PBE) gives the theoretical XRD peak list in this record (CuKα).
Intensities are scaled so that the largest is 100.

Most intense lines, 5° ≤ 2θ ≤ 70°, sorted by position:
two_theta  I (rel.)
18.0  44.6
25.6  23.4
31.4  100.0
35.9  43.0
36.6  81.9
52.2  58.2
52.7  28.3
61.7  14.2
62.6  27.3
65.4  29.1

Cell lengths 4.9145, 4.9145, 4.9985 Å; angles 90.00, 90.00, 90.00 degrees
Fractional positions:
Cd1 0.0000 0.0000 0.0000
In1 0.5000 0.5000 0.5000
Rh1 0.0000 0.5000 0.5000
Rh2 0.5000 0.0000 0.5000
Au1 0.5000 0.5000 0.0000


# 3
For ZrCdInAu, a structure optimized by DFT (PBE) gives the theoretical XRD peak list in this record (CuKα).
Intensities are scaled so that the largest is 100.

Most intense lines, 5° ≤ 2θ ≤ 70°, sorted by position:
two_theta  I (rel.)
19.8  3.8
21.1  3.6
28.4  3.7
35.6  100.0
40.3  17.8
40.9  17.0
42.9  14.8
58.7  11.5
60.3  10.6
60.8  10.4

Cell lengths 4.2130, 4.4167, 4.4773 Å; angles 90.00, 90.00, 90.00 degrees
Fractional positions:
Zr1 0.0000 0.0000 0.0000
Cd1 0.0000 0.5000 0.5000
In1 0.5000 0.5000 0.0000
Au1 0.5000 0.0000 0.5000


# 4
For Sc5Cd2Ir2Au, a structure optimized by DFT (PBE) gives the theoretical XRD peak list in this record (CuKα).
Intensities are scaled so that the largest is 100.

Most intense lines, 5° ≤ 2θ ≤ 70°, sorted by position:
two_theta  I (rel.)
18.0  15.0
25.6  67.8
34.6  18.9
36.5  100.0
39.2  20.8
41.8  13.4
46.6  11.2
49.7  12.4
52.6  11.6
54.0  12.5

Cell lengths 11.0147, 11.0147, 3.4804 Å; angles 90.00, 90.00, 90.00 degrees
Fractional positions:
Sc1 0.0000 0.5000 0.0000
Sc2 0.0777 0.1993 0.0000
Sc3 0.1993 0.9223 0.0000
Sc4 0.3007 0.4223 0.0000
Sc5 0.4223 0.6993 0.0000
Sc6 0.5000 0.0000 0.0000
Sc7 0.5777 0.3007 0.0000
Sc8 0.6993 0.5777 0.0000
Sc9 0.8007 0.0777 0.0000
Sc10 0.9223 0.8007 0.0000
Cd1 0.1702 0.6702 0.5000
Cd2 0.3298 0.1702 0.5000
Cd3 0.6702 0.8298 0.5000
Cd4 0.8298 0.3298 0.5000
Ir1 0.1318 0.3682 0.5000
Ir2 0.3682 0.8682 0.5000
Ir3 0.6318 0.1318 0.5000
Ir4 0.8682 0.6318 0.5000
Au1 0.0000 0.0000 0.5000
Au2 0.5000 0.5000 0.5000